This entry pairs a crystal structure of KZrPdSe2 with its computed powder XRD pattern. Radiation: Cu Ka. Structure: a PBE-relaxed structure.
No peak broadening, texture or thermal motion is included.

Cell and atoms:
abc: 8.133 5.224 6.360
angles: 90.00 106.96 90.00
Positions (direct):
K  0.000  0.213  0.250
K  0.000  0.787  0.750
Zr  0.500  0.498  0.750
Zr  0.500  0.502  0.250
Pd  0.500  0.000  0.000
Pd  0.500  0.000  0.500
Se  0.254  0.297  0.909
Se  0.254  0.703  0.409
Se  0.746  0.297  0.591
Se  0.746  0.703  0.091

The 12 most intense peaks (15 to 90 degrees two-theta), in order of rising 2θ:
2θ (°), d [Å], Rel. int.
27.1, 3.288, 100
28.2, 3.163, 63
28.9, 3.085, 46
33.1, 2.706, 56
34.1, 2.629, 55
36.1, 2.488, 69
36.3, 2.476, 85
38.8, 2.319, 82
41.6, 2.169, 93
42.3, 2.135, 64
46.7, 1.945, 60
49.5, 1.840, 44